This entry pairs a crystal structure of BiMoO4 with its simulated powder XRD pattern. Radiation: Cu Kα, 1.54184 Å. Structure: a DFT-relaxed cell (GGA+U, Alexandria).
Neutral-atom scattering factors, no anomalous dispersion.

Crystal structure
Cell: 8.0152 5.6664 7.8235 Å, 90.00 104.12 90.00°
Fractional coordinates of all 24 atoms:
Bi  0.1098  0.2500  0.4024
Bi  0.1098  0.2500  0.9024
Bi  0.8902  0.7500  0.0976
Bi  0.8902  0.7500  0.5976
Mo  0.3334  0.7499  0.2083
Mo  0.3334  0.7501  0.7083
Mo  0.6666  0.2499  0.2917
Mo  0.6666  0.2501  0.7917
O  0.1264  0.5133  0.1570
O  0.1264  0.9867  0.6570
O  0.1265  0.5136  0.6562
O  0.1265  0.9864  0.1562
O  0.3188  0.7487  0.9547
O  0.3188  0.7513  0.4547
O  0.5000  0.9999  0.2493
O  0.5000  0.0001  0.7507
O  0.5000  0.4999  0.2507
O  0.5000  0.5001  0.7493
O  0.6812  0.2487  0.5453
O  0.6812  0.2513  0.0453
O  0.8735  0.0136  0.8438
O  0.8735  0.4864  0.3438
O  0.8736  0.0133  0.3430
O  0.8736  0.4867  0.8430

Peak list (12 most intense, 2θ = 10–90°, in order of rising 2θ)
(hkl)	Position (°2θ)	I (rel.)
1 0 0	11.38	40
2 1 0	27.84	83
0 1 2	28.31	100
2 0 -2	28.59	24
0 2 0	31.58	25
2 0 2	36.93	23
1 2 2	43.12	22
1 0 -4	46.43	16
2 2 2	49.36	39
0 3 2	54.25	16
1 1 4	55.00	25
4 1 2	60.86	18